No. 1
Diffraction record for MgFe2Mo2Cl2O8. The XRD peak list is calculated, not measured: it uses a structure optimized by DFT (GGA+U) and copper Kα.

Most intense lines, 2θ = 10–90°, low angle first:
d 5.737, 2θ = 15.45°, I = 51; d 4.364, 2θ = 20.35°, I = 28; d 3.714, 2θ = 23.96°, I = 68; d 3.651, 2θ = 24.38°, I = 65; d 3.429, 2θ = 25.98°, I = 100; d 3.362, 2θ = 26.51°, I = 94; d 2.472, 2θ = 36.34°, I = 56; d 2.453, 2θ = 36.63°, I = 51; d 1.738, 2θ = 52.67°, I = 25; d 1.718, 2θ = 53.32°, I = 32

Cell and atoms:
```
MgFe2Mo2Cl2O8
1.0
5.7366 0.0000 0.0000
0.0161 6.7271 0.0000
0.0032 0.2002 6.8588
Mg Fe Mo Cl O
1 2 2 2 8
Direct
0.0000 0.0000 0.0000
0.2366 0.0025 0.4996
0.7686 0.5016 0.9995
0.4981 0.0026 0.9994
0.5068 0.5020 0.4997
0.1929 0.5039 0.9996
0.8422 0.0018 0.4995
0.2694 0.0131 0.1966
0.2693 0.9918 0.8027
0.3338 0.2743 0.4984
0.3339 0.7304 0.5010
0.6911 0.4905 0.7051
0.6909 0.5130 0.2938
0.7277 0.8082 0.9741
0.7288 0.1951 0.0249
```


No. 2
Diffraction record for Li3Mn2CoO6. The XRD peak list is calculated, not measured: it uses a structure optimized by DFT (GGA+U) and copper Kα.

Most intense lines, 2θ = 10–90°, low angle first:
d 4.886, 2θ = 18.16°, I = 100; d 2.698, 2θ = 33.21°, I = 22; d 2.488, 2θ = 36.10°, I = 12; d 2.462, 2θ = 36.49°, I = 16; d 2.422, 2θ = 37.11°, I = 9; d 2.273, 2θ = 39.66°, I = 35; d 2.056, 2θ = 44.05°, I = 25; d 2.028, 2θ = 44.67°, I = 24; d 1.518, 2θ = 61.03°, I = 16; d 1.431, 2θ = 65.17°, I = 10

Cell and atoms:
```
Li3Mn2CoO6
1.0
2.8631 0.0000 0.0000
-1.3755 4.9081 0.0000
-0.1319 -1.5397 16.1878
Li Mn Co O
6 4 2 12
Direct
0.2432 0.4879 0.0793
0.2485 0.4978 0.7501
0.2568 0.5075 0.4205
0.7432 0.4925 0.5795
0.7515 0.5022 0.2499
0.7568 0.5121 0.9207
0.0017 0.0045 0.8349
0.4919 0.9879 0.6640
0.5081 0.0121 0.3360
0.9983 0.9955 0.1651
0.0000 0.0000 0.5000
0.5000 0.0000 0.0000
0.1032 0.2181 0.6256
0.1118 0.2291 0.9661
0.1197 0.2376 0.2961
0.3479 0.7643 0.5387
0.3875 0.7665 0.2037
0.3906 0.7750 0.8728
0.6094 0.2250 0.1272
0.6125 0.2335 0.7963
0.6521 0.2357 0.4613
0.8803 0.7624 0.7039
0.8882 0.7709 0.0339
0.8968 0.7819 0.3744
```


No. 3
Diffraction record for Li4Mn3Fe3Cu2O16. The XRD peak list is calculated, not measured: it uses a structure optimized by DFT (GGA+U) and copper Kα.

Most intense lines, 2θ = 10–90°, low angle first:
d 4.787, 2θ = 18.53°, I = 100; d 4.486, 2θ = 19.79°, I = 98; d 4.465, 2θ = 19.89°, I = 63; d 2.691, 2θ = 33.30°, I = 37; d 2.517, 2θ = 35.67°, I = 38; d 2.491, 2θ = 36.05°, I = 77; d 2.454, 2θ = 36.62°, I = 47; d 1.978, 2θ = 45.88°, I = 51; d 1.522, 2θ = 60.86°, I = 42; d 1.469, 2θ = 63.31°, I = 50

Cell and atoms:
```
Li4Mn3Fe3Cu2O16
1.0
5.1004 -2.9179 0.0000
5.1004 2.9179 0.0000
-0.1320 0.0000 9.5745
Li Mn Fe Cu O
4 3 3 2 16
Direct
0.0000 0.0000 0.0000
0.0022 0.0022 0.5012
0.3308 0.3308 0.4003
0.6652 0.6652 0.9008
0.1714 0.1714 0.7185
0.3398 0.8313 0.2186
0.8313 0.3398 0.2186
0.1700 0.6636 0.7172
0.6636 0.1700 0.7172
0.8323 0.8323 0.2175
0.3370 0.3370 0.9925
0.6697 0.6697 0.4927
0.0069 0.0069 0.3151
0.0072 0.0072 0.8142
0.0385 0.4743 0.8421
0.1584 0.1584 0.1099
0.1665 0.6763 0.1080
0.3271 0.8421 0.6077
0.3279 0.3279 0.6081
0.4743 0.0385 0.8421
0.4796 0.4796 0.8447
0.5119 0.9611 0.3405
0.5187 0.5187 0.3361
0.6598 0.6598 0.1111
0.6763 0.1665 0.1080
0.8368 0.8368 0.6060
0.8421 0.3271 0.6077
0.9611 0.5119 0.3405
```


No. 4
Diffraction record for Na3CoBSO7. The XRD peak list is calculated, not measured: it uses a structure optimized by DFT (GGA+U) and copper Kα.

Most intense lines, 2θ = 10–90°, low angle first:
d 5.447, 2θ = 16.27°, I = 46; d 4.601, 2θ = 19.29°, I = 32; d 4.508, 2θ = 19.69°, I = 32; d 3.461, 2θ = 25.74°, I = 51; d 3.424, 2θ = 26.02°, I = 100; d 3.036, 2θ = 29.42°, I = 28; d 2.747, 2θ = 32.60°, I = 74; d 2.726, 2θ = 32.86°, I = 87; d 2.643, 2θ = 33.92°, I = 71; d 1.712, 2θ = 53.52°, I = 47

Cell and atoms:
```
Na3CoBSO7
1.0
6.8489 0.0000 0.0000
0.0009 10.3273 0.0000
0.0026 5.1163 9.2017
Na Co B S O
12 4 4 4 28
Direct
0.0000 0.0000 0.0000
0.9997 0.4994 0.5010
0.0155 0.0025 0.5170
0.0159 0.5026 0.0180
0.2571 0.1589 0.6657
0.2580 0.6602 0.1647
0.4998 0.0030 0.5165
0.5002 0.5022 0.0177
0.5157 0.9997 0.9998
0.5156 0.4997 0.5008
0.7572 0.3435 0.3518
0.7578 0.8421 0.8530
0.2556 0.2177 0.2075
0.2574 0.7161 0.7078
0.7560 0.2842 0.8103
0.7580 0.7863 0.3098
0.2579 0.8352 0.8595
0.2589 0.3351 0.3600
0.7585 0.1674 0.6574
0.7578 0.6672 0.1581
0.2573 0.3538 0.8268
0.2579 0.8538 0.3253
0.7576 0.1485 0.1911
0.7578 0.6485 0.6922
0.0833 0.7749 0.3117
0.0836 0.2733 0.8151
0.2562 0.1805 0.4149
0.2561 0.3567 0.9669
0.2568 0.0115 0.2043
0.2573 0.5103 0.7031
0.2579 0.3985 0.4470
0.2582 0.6809 0.9145
0.2578 0.8526 0.4674
0.2579 0.8994 0.9458
0.2575 0.9148 0.7071
0.2608 0.4157 0.2076
0.4331 0.2741 0.8165
0.4330 0.7755 0.3114
0.5829 0.7270 0.7060
0.5838 0.2289 0.2031
0.7564 0.1457 0.0509
0.7565 0.3219 0.6026
0.7573 0.4907 0.8131
0.7576 0.1040 0.5706
0.7580 0.5876 0.3105
0.7581 0.6030 0.0717
0.7581 0.6500 0.5500
0.7575 0.8215 0.1030
0.7578 0.9919 0.3147
0.7597 0.0867 0.8100
0.9333 0.2282 0.2014
0.9326 0.7271 0.7062
```